BaTlCuO3: calculated X-ray powder pattern (CuKα), based on a GGA-PBE-relaxed structure.

Peak list (8 most intense, 10° ≤ 2θ ≤ 80°, sorted by position)
14.7°, d = 6.013 Å, rel. 79
27.4°, d = 3.249 Å, rel. 92
29.7°, d = 3.007 Å, rel. 78
34.3°, d = 2.616 Å, rel. 62
35.3°, d = 2.546 Å, rel. 38
35.4°, d = 2.538 Å, rel. 65
35.5°, d = 2.527 Å, rel. 100
50.9°, d = 1.795 Å, rel. 36

Structure:
Lattice parameters (Å, degrees): 7.350 3.590 7.891 90.00 104.54 90.00
Fractional positions:
Ba 0.194 0.250 0.226
Ba 0.806 0.750 0.774
Tl 0.333 0.750 0.845
Tl 0.667 0.250 0.155
Cu 0.111 0.250 0.580
Cu 0.889 0.750 0.420
O 0.109 0.250 0.858
O 0.215 0.750 0.537
O 0.443 0.750 0.145
O 0.557 0.250 0.855
O 0.785 0.250 0.463
O 0.891 0.750 0.142

---

Ba2TmCuO4: calculated X-ray powder pattern (CuKα), based on a GGA-PBE-relaxed structure.

Peak list (8 most intense, 10° ≤ 2θ ≤ 80°, sorted by position)
29.1°, d = 3.064 Å, rel. 45
30.9°, d = 2.892 Å, rel. 100
41.7°, d = 2.167 Å, rel. 25
52.8°, d = 1.734 Å, rel. 44
56.1°, d = 1.640 Å, rel. 21
64.4°, d = 1.446 Å, rel. 11
68.5°, d = 1.370 Å, rel. 10
69.4°, d = 1.354 Å, rel. 9

Structure:
Lattice parameters (Å, degrees): 5.819 5.819 5.819 116.45 116.45 96.27
Fractional positions:
Ba 0.000 0.000 0.000
Ba 0.750 0.250 0.500
Tm 0.250 0.750 0.500
Cu 0.500 0.500 0.000
O 0.205 0.653 0.080
O 0.347 0.427 0.552
O 0.573 0.125 0.920
O 0.875 0.795 0.448

---

Ba2TmCu2O6: calculated X-ray powder pattern (CuKα), based on a GGA-PBE-relaxed structure.

Peak list (8 most intense, 10° ≤ 2θ ≤ 80°, sorted by position)
26.8°, d = 3.328 Å, rel. 28
29.7°, d = 3.011 Å, rel. 100
31.0°, d = 2.882 Å, rel. 79
40.4°, d = 2.233 Å, rel. 22
43.5°, d = 2.082 Å, rel. 32
52.6°, d = 1.738 Å, rel. 20
53.5°, d = 1.712 Å, rel. 35
56.9°, d = 1.619 Å, rel. 22

Structure:
Lattice parameters (Å, degrees): 6.730 6.730 6.730 53.16 53.16 53.16
Fractional positions:
Ba 0.217 0.217 0.217
Ba 0.783 0.783 0.783
Tm 0.000 0.000 0.000
Cu 0.421 0.421 0.421
Cu 0.579 0.579 0.579
O 0.232 0.756 0.756
O 0.244 0.244 0.768
O 0.244 0.768 0.244
O 0.756 0.232 0.756
O 0.756 0.756 0.232
O 0.768 0.244 0.244

---

Ba2TmCu3O7: calculated X-ray powder pattern (CuKα), based on a GGA-PBE-relaxed structure.

Peak list (8 most intense, 10° ≤ 2θ ≤ 80°, sorted by position)
32.3°, d = 2.773 Å, rel. 91
32.7°, d = 2.742 Å, rel. 100
32.8°, d = 2.731 Å, rel. 95
40.2°, d = 2.244 Å, rel. 30
46.5°, d = 1.953 Å, rel. 28
57.7°, d = 1.597 Å, rel. 36
58.0°, d = 1.591 Å, rel. 38
58.7°, d = 1.573 Å, rel. 33

Structure:
Lattice parameters (Å, degrees): 3.820 3.905 11.816 90.00 90.00 90.00
Fractional positions:
Ba 0.000 0.000 0.181
Ba 0.000 0.000 0.819
Tm 0.000 0.000 0.500
Cu 0.500 0.500 0.000
Cu 0.500 0.500 0.355
Cu 0.500 0.500 0.645
O 0.000 0.500 0.383
O 0.000 0.500 0.617
O 0.500 0.000 0.000
O 0.500 0.000 0.382
O 0.500 0.000 0.618
O 0.500 0.500 0.159
O 0.500 0.500 0.841

---

Ba2TmCu4O8: calculated X-ray powder pattern (CuKα), based on a GGA-PBE-relaxed structure.

Peak list (8 most intense, 10° ≤ 2θ ≤ 80°, sorted by position)
30.3°, d = 2.954 Å, rel. 43
32.4°, d = 2.765 Å, rel. 96
32.9°, d = 2.724 Å, rel. 100
34.9°, d = 2.569 Å, rel. 64
46.8°, d = 1.942 Å, rel. 31
47.1°, d = 1.929 Å, rel. 30
58.3°, d = 1.582 Å, rel. 36
60.7°, d = 1.525 Å, rel. 29

Structure:
Lattice parameters (Å, degrees): 13.914 13.914 3.858 90.00 90.00 163.96
Fractional positions:
Ba 0.136 0.864 0.000
Ba 0.864 0.136 0.000
Tm 0.000 0.000 0.000
Cu 0.287 0.713 0.500
Cu 0.440 0.560 0.500
Cu 0.560 0.440 0.500
Cu 0.713 0.287 0.500
O 0.051 0.949 0.500
O 0.218 0.782 0.500
O 0.354 0.646 0.500
O 0.449 0.551 0.000
O 0.551 0.449 0.000
O 0.646 0.354 0.500
O 0.782 0.218 0.500
O 0.949 0.051 0.500

---

BaUCuO5: calculated X-ray powder pattern (CuKα), based on a GGA-PBE-relaxed structure.

Peak list (8 most intense, 10° ≤ 2θ ≤ 80°, sorted by position)
16.3°, d = 5.441 Å, rel. 49
24.5°, d = 3.628 Å, rel. 100
27.5°, d = 3.238 Å, rel. 65
29.6°, d = 3.022 Å, rel. 62
30.1°, d = 2.972 Å, rel. 85
32.4°, d = 2.761 Å, rel. 33
34.7°, d = 2.585 Å, rel. 32
50.3°, d = 1.814 Å, rel. 27

Structure:
Lattice parameters (Å, degrees): 6.084 6.084 8.044 101.03 101.03 111.13
Fractional positions:
Ba 0.168 0.832 0.750
Ba 0.832 0.168 0.250
U 0.500 0.500 0.000
U 0.500 0.500 0.500
Cu 0.180 0.820 0.250
Cu 0.820 0.180 0.750
O 0.141 0.243 0.918
O 0.232 0.620 0.408
O 0.243 0.141 0.418
O 0.380 0.768 0.092
O 0.431 0.569 0.750
O 0.569 0.431 0.250
O 0.620 0.232 0.908
O 0.757 0.859 0.582
O 0.768 0.380 0.592
O 0.859 0.757 0.082